[1]
Diffraction record for Ba2MgTl2. The powder diffraction line list is computed, not measured: it uses a cell relaxed with PBE and copper Kα.
Neutral-atom scattering factors, no anomalous dispersion.

Principal peaks in the range 2θ = 10–90°, by angle:
Position (°2θ)	d [Å]	I/Imax
12.5	7.109	493
28.1	3.179	304
30.0	2.978	1000
32.1	2.789	220
35.7	2.514	148
39.5	2.283	158
54.3	1.690	138
58.3	1.582	124

Crystal structure
```
data_Ba2MgTl2
_symmetry_space_group_name_H-M 'P 4/m b m'
_symmetry_Int_Tables_number 127
_symmetry_space_group_name_Hall '-P 4 2ab'
_cell_length_a 10.054
_cell_length_b 10.054
_cell_length_c 3.975
_cell_angle_alpha 90.00
_cell_angle_beta 90.00
_cell_angle_gamma 90.00
loop_
_atom_site_label
_atom_site_type_symbol
_atom_site_fract_x
_atom_site_fract_y
_atom_site_fract_z
_atom_site_occupancy
Ba1 Ba 0.176 0.324 0.000 1
Mg1 Mg 0.000 0.000 0.000 1
Tl1 Tl 0.121 0.621 0.500 1
```

---

[2]
Diffraction record for Cu5NiPd. The powder diffraction line list is computed, not measured: it uses a cell relaxed with PBE and copper Kα.
Neutral-atom scattering factors, no anomalous dispersion.

Principal peaks in the range 2θ = 10–90°, by angle:
Position (°2θ)	d [Å]	I/Imax
21.4	4.144	297
27.5	3.240	277
43.0	2.102	1000
43.7	2.072	957
50.2	1.818	623
51.1	1.787	294
74.5	1.274	352
88.9	1.101	220

Crystal structure
```
data_Cu5NiPd
_symmetry_space_group_name_H-M 'C m m m'
_symmetry_Int_Tables_number 65
_symmetry_space_group_name_Hall '-C 2 2'
_cell_length_a 5.085
_cell_length_b 7.148
_cell_length_c 5.198
_cell_angle_alpha 90.00
_cell_angle_beta 90.00
_cell_angle_gamma 90.00
loop_
_atom_site_label
_atom_site_type_symbol
_atom_site_fract_x
_atom_site_fract_y
_atom_site_fract_z
_atom_site_occupancy
Cu1 Cu 0.000 0.000 0.000 1
Cu2 Cu 0.250 0.250 0.245 1
Ni1 Ni 0.000 0.500 0.000 1
Pd1 Pd 0.000 0.000 0.500 1
```

---

[3]
Diffraction record for Ba6TlSn2. The powder diffraction line list is computed, not measured: it uses a cell relaxed with PBE and copper Kα.
Neutral-atom scattering factors, no anomalous dispersion.

Principal peaks in the range 2θ = 10–90°, by angle:
Position (°2θ)	d [Å]	I/Imax
23.4	3.795	690
24.9	3.583	692
25.9	3.434	1000
26.1	3.414	556
27.4	3.251	514
28.6	3.126	463
30.3	2.953	742
36.7	2.447	634

Crystal structure
```
data_Ba6TlSn2
_symmetry_space_group_name_H-M 'P 1 21/c 1'
_symmetry_Int_Tables_number 14
_symmetry_space_group_name_Hall '-P 2ybc'
_cell_length_a 8.100
_cell_length_b 9.522
_cell_length_c 13.341
_cell_angle_alpha 90.00
_cell_angle_beta 121.26
_cell_angle_gamma 90.00
loop_
_atom_site_label
_atom_site_type_symbol
_atom_site_fract_x
_atom_site_fract_y
_atom_site_fract_z
_atom_site_occupancy
Ba1 Ba 0.076 0.051 0.233 1
Ba2 Ba 0.212 0.680 0.076 1
Ba3 Ba 0.388 0.164 0.063 1
Tl1 Tl 0.500 0.000 0.500 1
Sn1 Sn 0.313 0.123 0.759 1
```

---

[4]
Diffraction record for Y2ZrOs. The powder diffraction line list is computed, not measured: it uses a cell relaxed with PBE and copper Kα.
Neutral-atom scattering factors, no anomalous dispersion.

Principal peaks in the range 2θ = 10–90°, by angle:
Position (°2θ)	d [Å]	I/Imax
10.1	8.736	747
33.6	2.667	1000
37.8	2.381	492
39.2	2.297	124
41.0	2.203	319
54.5	1.684	169
65.6	1.424	283
70.4	1.338	131

Crystal structure
```
data_Y2ZrOs
_symmetry_space_group_name_H-M 'P 4 m m'
_symmetry_Int_Tables_number 99
_symmetry_space_group_name_Hall 'P 4 -2'
_cell_length_a 3.367
_cell_length_b 3.367
_cell_length_c 8.736
_cell_angle_alpha 90.00
_cell_angle_beta 90.00
_cell_angle_gamma 90.00
loop_
_atom_site_label
_atom_site_type_symbol
_atom_site_fract_x
_atom_site_fract_y
_atom_site_fract_z
_atom_site_occupancy
Y1 Y 0.000 0.000 0.000 1
Y2 Y 0.500 0.500 0.344 1
Zr1 Zr 0.000 0.000 0.624 1
Os1 Os 0.500 0.500 0.793 1
```

---

[5]
Diffraction record for TbPm2Nd2Tm2. The powder diffraction line list is computed, not measured: it uses a cell relaxed with PBE and copper Kα.
Neutral-atom scattering factors, no anomalous dispersion.

Principal peaks in the range 2θ = 10–90°, by angle:
Position (°2θ)	d [Å]	I/Imax
30.4	2.939	1000
35.2	2.547	170
35.3	2.544	338
50.7	1.800	361
60.3	1.535	430
63.3	1.470	124
82.6	1.168	177
85.2	1.138	123

Crystal structure
```
data_TbPm2Nd2Tm2
_symmetry_space_group_name_H-M 'C 1 2/m 1'
_symmetry_Int_Tables_number 12
_symmetry_space_group_name_Hall '-C 2y'
_cell_length_a 11.377
_cell_length_b 5.090
_cell_length_c 8.055
_cell_angle_alpha 90.00
_cell_angle_beta 98.17
_cell_angle_gamma 90.00
loop_
_atom_site_label
_atom_site_type_symbol
_atom_site_fract_x
_atom_site_fract_y
_atom_site_fract_z
_atom_site_occupancy
Tb1 Tb 0.000 0.000 0.000 1
Pm1 Pm 0.144 0.000 0.428 1
Nd1 Nd 0.071 0.500 0.719 1
Tm1 Tm 0.215 0.500 0.140 1
```

---

[6]
Diffraction record for Sr2PbAu10. The powder diffraction line list is computed, not measured: it uses a cell relaxed with PBE and copper Kα.
Neutral-atom scattering factors, no anomalous dispersion.

Principal peaks in the range 2θ = 10–90°, by angle:
Position (°2θ)	d [Å]	I/Imax
30.1	2.972	431
31.8	2.811	557
36.2	2.483	722
37.4	2.402	551
38.1	2.361	1000
39.3	2.294	512
39.5	2.280	528
43.7	2.072	462

Crystal structure
```
data_Sr2PbAu10
_symmetry_space_group_name_H-M 'P 1 21/c 1'
_symmetry_Int_Tables_number 14
_symmetry_space_group_name_Hall '-P 2ybc'
_cell_length_a 5.864
_cell_length_b 5.625
_cell_length_c 18.154
_cell_angle_alpha 90.00
_cell_angle_beta 100.80
_cell_angle_gamma 90.00
loop_
_atom_site_label
_atom_site_type_symbol
_atom_site_fract_x
_atom_site_fract_y
_atom_site_fract_z
_atom_site_occupancy
Sr1 Sr 0.186 0.201 0.150 1
Pb1 Pb 0.500 0.000 0.500 1
Au1 Au 0.053 0.744 0.026 1
Au2 Au 0.066 0.196 0.329 1
Au3 Au 0.285 0.737 0.794 1
Au4 Au 0.336 0.524 0.432 1
Au5 Au 0.452 0.701 0.160 1
```